This entry pairs a crystal structure of NdIBr with its computed X-ray diffraction stick pattern. Radiation: Cu Ka. Structure: a structure optimized by DFT (GGA-PBE).
Lines closer than 0.1° are merged.

Peak list (10 most intense, 2θ from 15° to 90°, by angle)
| 2θ/deg | I/Imax | h k l |
| --- | --- | --- |
| 26.98 | 93 | 0 2 0 |
| 27.39 | 99 | 1 -1 1 |
| 27.53 | 100 | 1 1 -2 |
| 32.91 | 42 | 0 2 1 |
| 33.71 | 32 | 1 -1 2 |
| 34.27 | 36 | 0 2 -3 |
| 41.78 | 33 | -1 1 3 |
| 43.70 | 32 | 2 0 -1 |
| 43.96 | 62 | 1 -3 1 |
| 45.04 | 48 | 0 0 4 |

Structure:
```
data_NdIBr
_space_group_name_H-M_alt 'P -1'
_space_group_IT_number 2
_space_group_name_Hall '-P 1'
_cell_length_a 4.143
_cell_length_b 7.127
_cell_length_c 8.913
_cell_angle_alpha 111.36
_cell_angle_beta 103.03
_cell_angle_gamma 90.00
loop_
_atom_site_label
_atom_site_type_symbol
_atom_site_fract_x
_atom_site_fract_y
_atom_site_fract_z
Nd1 Nd 0.250 0.247 0.001
I1 I 0.122 0.795 0.736
Br1 Br 0.359 0.685 0.224
```

---

This entry pairs a crystal structure of NpI2Br3 with its computed X-ray diffraction stick pattern. Radiation: Cu Ka. Structure: a structure optimized by DFT (GGA-PBE).
Lines closer than 0.1° are merged.

Peak list (10 most intense, 2θ from 15° to 90°, by angle)
| 2θ/deg | I/Imax | h k l |
| --- | --- | --- |
| 16.93 | 100 | 0 0 1 |
| 21.65 | 26 | 3 1 0 |
| 24.95 | 35 | 2 2 0 |
| 31.76 | 36 | 2 0 -2 |
| 32.89 | 56 | 4 2 -1 |
| 33.31 | 62 | 4 2 0 |
| 34.23 | 29 | 3 1 -2 |
| 40.81 | 20 | 4 2 -2 |
| 46.63 | 26 | 2 2 2 |
| 46.73 | 28 | 6 2 -2 |

Structure:
```
data_NpI2Br3
_space_group_name_H-M_alt 'C 1 m 1'
_space_group_IT_number 8
_space_group_name_Hall 'C -2y'
_cell_length_a 15.255
_cell_length_b 8.259
_cell_length_c 5.634
_cell_angle_alpha 90.00
_cell_angle_beta 111.56
_cell_angle_gamma 90.00
loop_
_atom_site_label
_atom_site_type_symbol
_atom_site_fract_x
_atom_site_fract_y
_atom_site_fract_z
Np1 Np 0.000 0.000 0.000
I1 I 0.145 0.245 0.144
Br1 Br 0.003 0.000 0.503
Br2 Br 0.370 0.272 0.870
```

---

This entry pairs a crystal structure of Np2I6Br with its computed X-ray diffraction stick pattern. Radiation: Cu Ka. Structure: a structure optimized by DFT (GGA-PBE).
Lines closer than 0.1° are merged.

Peak list (10 most intense, 2θ from 15° to 90°, by angle)
| 2θ/deg | I/Imax | h k l |
| --- | --- | --- |
| 15.21 | 73 | 1 1 1 |
| 15.54 | 81 | 1 0 -1 |
| 25.95 | 79 | 2 0 0 |
| 26.29 | 79 | 2 2 0 |
| 26.44 | 74 | 1 0 2 |
| 26.94 | 100 | 0 2 2 |
| 33.20 | 70 | 2 3 1 |
| 39.77 | 67 | 3 2 2 |
| 40.71 | 66 | 0 1 4 |
| 40.76 | 64 | 3 1 -2 |

Structure:
```
data_Np2I6Br
_space_group_name_H-M_alt 'P 1'
_space_group_IT_number 1
_space_group_name_Hall 'P 1'
_cell_length_a 7.789
_cell_length_b 8.452
_cell_length_c 8.877
_cell_angle_alpha 71.87
_cell_angle_beta 88.49
_cell_angle_gamma 62.86
loop_
_atom_site_label
_atom_site_type_symbol
_atom_site_fract_x
_atom_site_fract_y
_atom_site_fract_z
Np1 Np 0.000 0.000 0.000
Np2 Np 0.281 0.430 0.141
I1 I 0.051 0.203 0.218
I2 I 0.439 0.716 0.069
I3 I 0.547 0.183 0.435
I4 I 0.548 0.221 0.928
I5 I 0.988 0.729 0.838
I6 I 0.992 0.697 0.305
Br1 Br 0.034 0.232 0.732
```

---

This entry pairs a crystal structure of I2BrO3 with its computed X-ray diffraction stick pattern. Radiation: Cu Ka. Structure: a structure optimized by DFT (GGA-PBE).
Lines closer than 0.1° are merged.

Peak list (10 most intense, 2θ from 15° to 90°, by angle)
| 2θ/deg | I/Imax | h k l |
| --- | --- | --- |
| 16.93 | 100 | 1 1 0 |
| 17.19 | 12 | 1 0 1 |
| 23.30 | 20 | 0 1 2 |
| 25.97 | 39 | 1 -1 1 |
| 28.09 | 13 | 2 1 1 |
| 28.90 | 19 | 1 0 -2 |
| 30.24 | 15 | 2 0 1 |
| 32.06 | 19 | 0 2 -1 |
| 32.80 | 13 | 1 1 3 |
| 39.64 | 11 | 1 3 0 |

Structure:
```
data_I2BrO3
_space_group_name_H-M_alt 'P -1'
_space_group_IT_number 2
_space_group_name_Hall '-P 1'
_cell_length_a 6.450
_cell_length_b 7.183
_cell_length_c 8.360
_cell_angle_alpha 72.28
_cell_angle_beta 76.37
_cell_angle_gamma 70.28
loop_
_atom_site_label
_atom_site_type_symbol
_atom_site_fract_x
_atom_site_fract_y
_atom_site_fract_z
I1 I 0.090 0.367 0.334
I2 I 0.376 0.222 0.922
Br1 Br 0.496 0.131 0.626
O1 O 0.102 0.611 0.346
O2 O 0.160 0.573 0.761
O3 O 0.317 0.343 0.143
```

---

This entry pairs a crystal structure of PaIBrO6 with its computed X-ray diffraction stick pattern. Radiation: Cu Ka. Structure: a structure optimized by DFT (GGA-PBE).
Lines closer than 0.1° are merged.

Peak list (10 most intense, 2θ from 15° to 90°, by angle)
| 2θ/deg | I/Imax | h k l |
| --- | --- | --- |
| 26.29 | 54 | 1 2 1 |
| 27.11 | 100 | 0 2 2 |
| 27.96 | 33 | 2 1 1 |
| 29.29 | 29 | 2 0 2 |
| 44.09 | 11 | 3 2 1 |
| 44.58 | 14 | 3 0 3 |
| 46.80 | 24 | 2 2 4 |
| 48.36 | 16 | 1 2 5 |
| 52.78 | 14 | 1 4 3 |
| 57.79 | 16 | 4 2 2 |

Structure:
```
data_PaIBrO6
_space_group_name_H-M_alt 'I m m a'
_space_group_IT_number 74
_space_group_name_Hall '-I 2b 2'
_cell_length_a 7.301
_cell_length_b 8.158
_cell_length_c 11.085
_cell_angle_alpha 90.00
_cell_angle_beta 90.00
_cell_angle_gamma 90.00
loop_
_atom_site_label
_atom_site_type_symbol
_atom_site_fract_x
_atom_site_fract_y
_atom_site_fract_z
Pa1 Pa 0.000 0.000 0.000
I1 I 0.250 0.250 0.250
Br1 Br 0.000 0.250 0.689
O1 O 0.000 0.250 0.317
O2 O 0.000 0.250 0.943
O3 O 0.197 0.086 0.136
```

---

This entry pairs a crystal structure of Rb2IBr6O with its computed X-ray diffraction stick pattern. Radiation: Cu Ka. Structure: a structure optimized by DFT (GGA-PBE).
Lines closer than 0.1° are merged.

Peak list (10 most intense, 2θ from 15° to 90°, by angle)
| 2θ/deg | I/Imax | h k l |
| --- | --- | --- |
| 22.69 | 19 | 1 1 2 |
| 27.59 | 28 | 2 1 1 |
| 28.28 | 100 | 2 0 2 |
| 30.87 | 50 | 0 0 4 |
| 33.68 | 74 | 2 2 0 |
| 36.65 | 18 | 3 0 1 |
| 46.33 | 57 | 2 2 4 |
| 48.37 | 23 | 4 0 0 |
| 56.97 | 19 | 4 2 2 |
| 58.49 | 25 | 4 0 4 |

Structure:
```
data_Rb2IBr6O
_space_group_name_H-M_alt 'I 4/m m m'
_space_group_IT_number 139
_space_group_name_Hall '-I 4 2'
_cell_length_a 7.527
_cell_length_b 7.527
_cell_length_c 11.587
_cell_angle_alpha 90.00
_cell_angle_beta 90.00
_cell_angle_gamma 90.00
loop_
_atom_site_label
_atom_site_type_symbol
_atom_site_fract_x
_atom_site_fract_y
_atom_site_fract_z
Rb1 Rb 0.000 0.500 0.250
I1 I 0.000 0.000 0.000
Br1 Br 0.000 0.000 0.234
Br2 Br 0.221 0.221 0.500
O1 O 0.000 0.000 0.500
```

---

This entry pairs a crystal structure of SeIBr2O with its computed X-ray diffraction stick pattern. Radiation: Cu Ka. Structure: a structure optimized by DFT (GGA-PBE).
Lines closer than 0.1° are merged.

Peak list (10 most intense, 2θ from 15° to 90°, by angle)
| 2θ/deg | I/Imax | h k l |
| --- | --- | --- |
| 32.18 | 100 | 1 1 1 |
| 35.95 | 44 | 2 0 0 |
| 39.95 | 16 | 0 0 2 |
| 51.75 | 15 | 2 2 0 |
| 54.82 | 25 | 2 0 2 |
| 62.26 | 30 | 3 1 1 |
| 67.31 | 13 | 2 2 2 |
| 67.69 | 12 | 1 1 3 |
| 87.27 | 7 | 4 2 0 |
| 89.73 | 7 | 4 0 2 |

Structure:
```
data_SeIBr2O
_space_group_name_H-M_alt 'P 4/m m m'
_space_group_IT_number 123
_space_group_name_Hall '-P 4 2'
_cell_length_a 4.996
_cell_length_b 4.996
_cell_length_c 4.514
_cell_angle_alpha 90.00
_cell_angle_beta 90.00
_cell_angle_gamma 90.00
loop_
_atom_site_label
_atom_site_type_symbol
_atom_site_fract_x
_atom_site_fract_y
_atom_site_fract_z
Se1 Se 0.000 0.000 0.000
I1 I 0.500 0.500 0.000
Br1 Br 0.000 0.500 0.500
O1 O 0.000 0.000 0.500
```

---

This entry pairs a crystal structure of TbIBrO4 with its computed X-ray diffraction stick pattern. Radiation: Cu Ka. Structure: a structure optimized by DFT (GGA-PBE).
Lines closer than 0.1° are merged.

Peak list (10 most intense, 2θ from 15° to 90°, by angle)
| 2θ/deg | I/Imax | h k l |
| --- | --- | --- |
| 15.97 | 29 | 2 0 0 |
| 20.56 | 33 | 1 1 1 |
| 25.80 | 100 | 0 2 0 |
| 27.32 | 58 | 0 0 2 |
| 30.20 | 66 | 3 1 -1 |
| 31.05 | 66 | 3 1 1 |
| 31.60 | 40 | 1 1 2 |
| 40.92 | 20 | 2 2 -2 |
| 44.56 | 27 | 5 1 -1 |
| 48.90 | 26 | 3 3 1 |

Structure:
```
data_TbIBrO4
_space_group_name_H-M_alt 'C 1 2/m 1'
_space_group_IT_number 12
_space_group_name_Hall '-C 2y'
_cell_length_a 11.107
_cell_length_b 6.907
_cell_length_c 6.544
_cell_angle_alpha 90.00
_cell_angle_beta 92.23
_cell_angle_gamma 90.00
loop_
_atom_site_label
_atom_site_type_symbol
_atom_site_fract_x
_atom_site_fract_y
_atom_site_fract_z
Tb1 Tb 0.232 0.000 0.163
I1 I 0.125 0.000 0.662
Br1 Br 0.056 0.500 0.163
O1 O 0.047 0.000 0.242
O2 O 0.179 0.191 0.848
O3 O 0.225 0.500 0.492
```

---

This entry pairs a crystal structure of OsIBr4 with its computed X-ray diffraction stick pattern. Radiation: Cu Ka. Structure: a structure optimized by DFT (GGA-PBE).
Lines closer than 0.1° are merged.

Peak list (10 most intense, 2θ from 15° to 90°, by angle)
| 2θ/deg | I/Imax | h k l |
| --- | --- | --- |
| 23.36 | 26 | 2 0 0 |
| 24.92 | 29 | 2 0 2 |
| 26.64 | 100 | 1 1 4 |
| 32.29 | 27 | 2 1 2 |
| 35.16 | 58 | 2 0 6 |
| 35.72 | 41 | 1 2 4 |
| 40.89 | 31 | 1 2 6 |
| 43.74 | 31 | 1 3 2 |
| 47.32 | 26 | 2 1 8 |
| 55.52 | 23 | 3 2 4 |

Structure:
```
data_OsIBr4
_space_group_name_H-M_alt 'P 31 2 1'
_space_group_IT_number 152
_space_group_name_Hall 'P 31 2"'
_cell_length_a 8.7946
_cell_length_b 8.7946
_cell_length_c 20.6304
_cell_angle_alpha 90.00
_cell_angle_beta 90.00
_cell_angle_gamma 120.00
loop_
_atom_site_label
_atom_site_type_symbol
_atom_site_fract_x
_atom_site_fract_y
_atom_site_fract_z
Os1 Os 0.0000 0.4997 0.1667
I1 I 0.0000 0.4983 0.6667
Br1 Br 0.1856 0.7331 0.2350
Br2 Br 0.1890 0.4541 0.0995
```

---

This entry pairs a crystal structure of OsIBr3 with its computed X-ray diffraction stick pattern. Radiation: Cu Ka. Structure: a structure optimized by DFT (GGA-PBE).
Lines closer than 0.1° are merged.

Peak list (10 most intense, 2θ from 15° to 90°, by angle)
| 2θ/deg | I/Imax | h k l |
| --- | --- | --- |
| 15.65 | 19 | 1 1 -1 |
| 19.45 | 53 | 0 2 1 |
| 22.30 | 29 | 1 3 -1 |
| 32.11 | 50 | 0 0 2 |
| 32.25 | 100 | 2 4 -1 |
| 41.25 | 25 | 1 1 2 |
| 44.15 | 33 | 2 4 1 |
| 46.78 | 19 | 4 0 -2 |
| 48.08 | 32 | 2 4 -3 |
| 56.94 | 16 | 0 8 2 |

Structure:
```
data_OsIBr3
_space_group_name_H-M_alt 'C 1 c 1'
_space_group_IT_number 9
_space_group_name_Hall 'C -2yc'
_cell_length_a 7.816
_cell_length_b 15.881
_cell_length_c 6.466
_cell_angle_alpha 90.00
_cell_angle_beta 120.43
_cell_angle_gamma 90.00
loop_
_atom_site_label
_atom_site_type_symbol
_atom_site_fract_x
_atom_site_fract_y
_atom_site_fract_z
Os1 Os 0.000 0.065 0.000
I1 I 0.261 0.322 0.505
Br1 Br 0.204 0.054 0.451
Br2 Br 0.229 0.168 0.997
Br3 Br 0.298 0.447 0.050
```

---

This entry pairs a crystal structure of Rb2PI6Br with its computed X-ray diffraction stick pattern. Radiation: Cu Ka. Structure: a structure optimized by DFT (GGA-PBE).
Lines closer than 0.1° are merged.

Peak list (10 most intense, 2θ from 15° to 90°, by angle)
| 2θ/deg | I/Imax | h k l |
| --- | --- | --- |
| 15.33 | 11 | 1 1 0 |
| 25.88 | 100 | 2 0 2 |
| 27.93 | 31 | 0 0 4 |
| 30.95 | 54 | 2 2 0 |
| 32.28 | 11 | 2 1 3 |
| 42.17 | 38 | 2 2 4 |
| 44.34 | 19 | 4 0 0 |
| 48.19 | 12 | 2 0 6 |
| 52.05 | 26 | 4 2 2 |
| 53.22 | 19 | 4 0 4 |

Structure:
```
data_Rb2PI6Br
_space_group_name_H-M_alt 'I 4/m m m'
_space_group_IT_number 139
_space_group_name_Hall '-I 4 2'
_cell_length_a 8.172
_cell_length_b 8.172
_cell_length_c 12.777
_cell_angle_alpha 90.00
_cell_angle_beta 90.00
_cell_angle_gamma 90.00
loop_
_atom_site_label
_atom_site_type_symbol
_atom_site_fract_x
_atom_site_fract_y
_atom_site_fract_z
Rb1 Rb 0.000 0.500 0.250
P1 P 0.000 0.000 0.000
I1 I 0.000 0.000 0.217
I2 I 0.235 0.235 0.000
Br1 Br 0.000 0.000 0.500
```

---

This entry pairs a crystal structure of PaI2Br5 with its computed X-ray diffraction stick pattern. Radiation: Cu Ka. Structure: a structure optimized by DFT (GGA-PBE).
Lines closer than 0.1° are merged.

Peak list (10 most intense, 2θ from 15° to 90°, by angle)
| 2θ/deg | I/Imax | h k l |
| --- | --- | --- |
| 16.27 | 36 | 1 1 0 |
| 17.17 | 43 | 1 1 1 |
| 19.81 | 72 | 0 2 3 |
| 27.72 | 100 | 0 4 3 |
| 28.08 | 58 | 1 3 3 |
| 30.87 | 86 | 2 0 0 |
| 32.86 | 44 | 2 2 0 |
| 35.61 | 58 | 0 4 5 |
| 41.96 | 65 | 2 4 3 |
| 47.83 | 53 | 2 4 5 |

Structure:
```
data_PaI2Br5
_space_group_name_H-M_alt 'C m c m'
_space_group_IT_number 63
_space_group_name_Hall '-C 2c 2'
_cell_length_a 5.794
_cell_length_b 16.024
_cell_length_c 16.218
_cell_angle_alpha 90.00
_cell_angle_beta 90.00
_cell_angle_gamma 90.00
loop_
_atom_site_label
_atom_site_type_symbol
_atom_site_fract_x
_atom_site_fract_y
_atom_site_fract_z
Pa1 Pa 0.000 0.191 0.250
I1 I 0.000 0.187 0.626
Br1 Br 0.000 0.087 0.124
Br2 Br 0.000 0.321 0.131
Br3 Br 0.000 0.379 0.750
```

---

Repeat the eighth record exactly.
This entry pairs a crystal structure of TbIBrO4 with its computed X-ray diffraction stick pattern. Radiation: Cu Ka. Structure: a structure optimized by DFT (GGA-PBE).
Lines closer than 0.1° are merged.

Peak list (10 most intense, 2θ from 15° to 90°, by angle)
| 2θ/deg | I/Imax | h k l |
| --- | --- | --- |
| 15.97 | 29 | 2 0 0 |
| 20.56 | 33 | 1 1 1 |
| 25.80 | 100 | 0 2 0 |
| 27.32 | 58 | 0 0 2 |
| 30.20 | 66 | 3 1 -1 |
| 31.05 | 66 | 3 1 1 |
| 31.60 | 40 | 1 1 2 |
| 40.92 | 20 | 2 2 -2 |
| 44.56 | 27 | 5 1 -1 |
| 48.90 | 26 | 3 3 1 |

Structure:
```
data_TbIBrO4
_space_group_name_H-M_alt 'C 1 2/m 1'
_space_group_IT_number 12
_space_group_name_Hall '-C 2y'
_cell_length_a 11.107
_cell_length_b 6.907
_cell_length_c 6.544
_cell_angle_alpha 90.00
_cell_angle_beta 92.23
_cell_angle_gamma 90.00
loop_
_atom_site_label
_atom_site_type_symbol
_atom_site_fract_x
_atom_site_fract_y
_atom_site_fract_z
Tb1 Tb 0.232 0.000 0.163
I1 I 0.125 0.000 0.662
Br1 Br 0.056 0.500 0.163
O1 O 0.047 0.000 0.242
O2 O 0.179 0.191 0.848
O3 O 0.225 0.500 0.492
```

---

Q: What is the formula in the seventh record?
A: SeIBr2O